1.
Theoretical PXRD pattern
Compound: Mn3GeN
Radiation: CuKα
Structure: a DFT-relaxed cell (GGA-PBE, the Materials Project)
No peak broadening, texture or thermal motion is included.

Top 8 peaks for 10 to 90 degrees two-theta, by angle:
d [Å]	I/Imax
2.621	10
2.252	30
2.202	100
2.032	33
1.853	29
1.773	14
1.369	20
1.203	13

Cell and atoms:
```
Mn3GeN
1.0
-2.6209 2.6209 4.0633
2.6209 -2.6209 4.0633
2.6209 2.6209 -4.0633
Mn Ge N
6 2 2
Cartesian
3.5973 0.9764 0.0000
0.0000 0.0000 2.0316
0.9764 1.6444 0.0000
1.6444 0.9764 4.0633
0.0000 0.0000 6.0949
-0.9764 1.6444 4.0633
2.6209 0.0000 2.0316
0.0000 2.6209 2.0316
0.0000 0.0000 0.0000
0.0000 0.0000 4.0633
```


2.
Theoretical PXRD pattern
Compound: MnGeN2
Radiation: CuKα
Structure: a DFT-relaxed cell (GGA-PBE, the Materials Project)
No peak broadening, texture or thermal motion is included.

Top 8 peaks for 10 to 90 degrees two-theta, by angle:
d [Å]	I/Imax
2.869	37
2.780	25
2.658	51
2.525	100
2.464	38
1.622	26
1.508	30
1.385	36

Cell and atoms:
```
MnGeN2
1.0
5.5599 0.0000 0.0000
0.0000 6.6995 0.0000
0.0000 0.0000 5.3170
Mn Ge N
4 4 8
Cartesian
0.4527 0.8310 0.0000
2.3272 4.1807 2.6585
3.2326 2.5188 0.0000
5.1072 5.8685 2.6585
0.4004 4.1897 0.0152
2.3795 0.8400 2.6737
3.1804 5.8595 0.0152
5.1594 2.5098 2.6737
0.3357 4.0566 1.9008
0.5714 0.9759 2.1302
2.2085 4.3256 4.7887
2.4443 0.7069 4.5592
3.1156 5.9926 1.9008
3.3514 2.3739 2.1302
4.9884 5.7236 4.7887
5.2242 2.6428 4.5592
```


3.
Theoretical PXRD pattern
Compound: Mn4GeN4
Radiation: CuKα
Structure: a DFT-relaxed cell (GGA-PBE, the Materials Project)
No peak broadening, texture or thermal motion is included.

Top 8 peaks for 10 to 90 degrees two-theta, by angle:
d [Å]	I/Imax
3.486	94
3.003	35
2.757	48
2.314	26
2.197	100
2.112	26
2.080	45
1.867	25

Cell and atoms:
```
Mn4GeN4
1.0
4.7193 0.0000 0.0000
0.0000 12.0132 0.0000
0.0000 0.0000 7.0847
Mn Ge N
16 4 16
Cartesian
0.0684 3.0033 1.7712
0.2041 2.2344 4.3059
0.2041 3.7722 6.3211
1.1798 0.0000 1.7940
1.1798 6.0066 1.7484
2.1555 8.2409 6.3211
2.1555 9.7788 4.3059
2.2913 9.0099 1.7712
2.4280 3.0033 5.3135
2.5638 2.2344 2.7788
2.5638 3.7722 0.7636
3.5394 0.0000 5.2907
3.5394 6.0066 5.3364
4.5151 8.2409 0.7636
4.5151 9.7788 2.7788
4.6509 9.0099 5.3135
1.1798 0.0000 6.3091
1.1798 6.0066 4.3179
3.5394 0.0000 0.7756
3.5394 6.0066 2.7668
0.8187 1.4911 2.6654
0.8187 4.5154 0.8770
1.0207 2.0591 6.0424
1.0207 3.9475 4.5847
1.3389 8.0657 4.5847
1.3389 9.9541 6.0424
1.5409 7.4977 0.8770
1.5409 10.5220 2.6654
3.1784 1.4911 4.4193
3.1784 4.5154 6.2077
3.3803 2.0591 1.0423
3.3803 3.9475 2.5000
3.6985 8.0657 2.5000
3.6985 9.9541 1.0423
3.9005 7.4977 6.2077
3.9005 10.5220 4.4193
```


4.
Theoretical PXRD pattern
Compound: NdMn2Ge2
Radiation: CuKα
Structure: a DFT-relaxed cell (GGA-PBE, the Materials Project)
No peak broadening, texture or thermal motion is included.

Top 8 peaks for 10 to 90 degrees two-theta, by angle:
d [Å]	I/Imax
2.841	31
2.711	100
2.525	90
2.009	56
1.933	40
1.614	41
1.420	17
1.393	27

Cell and atoms:
```
NdMn2Ge2
1.0
4.0174 0.0000 0.0000
0.0000 4.0174 0.0000
0.0000 0.0000 11.0231
Nd Mn Ge
2 4 4
Cartesian
0.0000 0.0000 0.0000
2.0087 2.0087 5.5116
0.0000 2.0087 2.7558
0.0000 2.0087 8.2673
2.0087 0.0000 2.7558
2.0087 0.0000 8.2673
0.0000 0.0000 4.1513
0.0000 0.0000 6.8718
2.0087 2.0087 1.3602
2.0087 2.0087 9.6629
```


5.
Theoretical PXRD pattern
Compound: NdMnGe
Radiation: CuKα
Structure: a DFT-relaxed cell (GGA-PBE, the Materials Project)
No peak broadening, texture or thermal motion is included.

Top 8 peaks for 10 to 90 degrees two-theta, by angle:
d [Å]	I/Imax
2.870	55
2.767	100
2.683	34
2.286	88
2.029	58
1.714	39
1.636	41
1.309	32

Cell and atoms:
```
NdMnGe
1.0
4.0581 0.0000 0.0000
0.0000 4.0581 0.0000
0.0000 0.0000 7.5630
Nd Mn Ge
2 2 2
Cartesian
1.0145 1.0145 1.3156
3.0436 3.0436 6.2475
1.0145 3.0436 3.7815
3.0436 1.0145 3.7815
1.0145 1.0145 5.2880
3.0436 3.0436 2.2751
```


6.
Theoretical PXRD pattern
Compound: MnNiGe
Radiation: CuKα
Structure: a DFT-relaxed cell (GGA-PBE, the Materials Project)
No peak broadening, texture or thermal motion is included.

Top 8 peaks for 10 to 90 degrees two-theta, by angle:
d [Å]	I/Imax
2.645	13
2.120	92
2.045	100
1.618	18
1.472	26
1.195	25
1.181	15
1.111	25

Cell and atoms:
```
MnNiGe
1.0
4.0906 0.0000 0.0000
-2.0453 3.5426 0.0000
0.0000 0.0000 5.2906
Mn Ni Ge
2 2 2
Cartesian
0.0000 0.0000 0.0000
0.0000 0.0000 2.6453
0.0000 2.3617 1.3227
2.0453 1.1809 3.9680
0.0000 2.3617 3.9680
2.0453 1.1809 1.3227
```


7.
Theoretical PXRD pattern
Compound: MnNiGe
Radiation: CuKα
Structure: a DFT-relaxed cell (GGA-PBE, the Materials Project)
No peak broadening, texture or thermal motion is included.

Top 8 peaks for 10 to 90 degrees two-theta, by angle:
d [Å]	I/Imax
2.156	100
2.073	92
1.643	4
1.494	29
1.348	7
1.212	28
1.197	14
1.130	23

Cell and atoms:
```
MnNiGe
1.0
4.1453 0.0000 0.0000
-2.0727 3.5900 0.0000
0.0000 0.0000 5.3914
Mn Ni Ge
2 2 2
Cartesian
0.0000 2.3933 1.3478
2.0727 1.1967 4.0435
0.0000 2.3933 4.0435
2.0727 1.1967 1.3478
0.0000 0.0000 0.0000
0.0000 0.0000 2.6957
```


8.
Theoretical PXRD pattern
Compound: MnNiGe
Radiation: CuKα
Structure: a DFT-relaxed cell (GGA-PBE, the Materials Project)
No peak broadening, texture or thermal motion is included.

Top 8 peaks for 10 to 90 degrees two-theta, by angle:
d [Å]	I/Imax
3.220	33
2.788	16
1.972	100
1.681	14
1.394	15
1.279	5
1.247	5
1.138	30

Cell and atoms:
```
MnNiGe
1.0
5.5766 0.0000 0.0000
0.0000 5.5766 0.0000
0.0000 0.0000 5.5766
Mn Ni Ge
4 4 4
Cartesian
0.0000 0.0000 0.0000
0.0000 2.7883 2.7883
2.7883 0.0000 2.7883
2.7883 2.7883 0.0000
1.3941 1.3941 4.1824
1.3941 4.1824 1.3941
4.1824 1.3941 1.3941
4.1824 4.1824 4.1824
0.0000 0.0000 2.7883
0.0000 2.7883 0.0000
2.7883 0.0000 0.0000
2.7883 2.7883 2.7883
```